This entry pairs a crystal structure of CaHoCo2O6 with its computed X-ray powder pattern. Radiation: Cu Ka. Structure: DFT lattice parameters and positions (GGA+U).
Intensities are scaled so that the largest is 100.

The 12 most intense peaks (5° ≤ 2θ ≤ 70°), sorted by position:
d 4.406, I 27, (1 1 0); d 4.283, I 32, (1 0 1); d 3.373, I 15, (1 1 1); d 2.738, I 21, (0 2 0); d 2.650, I 100, (2 1 1); d 2.622, I 25, (0 0 2); d 2.254, I 17, (1 1 2); d 1.894, I 23, (0 2 2); d 1.855, I 16, (4 0 0); d 1.835, I 15, (3 2 0); d 1.679, I 13, (1 3 1); d 1.519, I 22, (2 1 3)

Structure:
```
20
Lattice="7.419 0.000 0.000 0.000 5.476 0.000 0.000 0.000 5.245" Properties=species:S:1:pos:R:3 pbc="T T T"
Ca 0.000 1.071 0.000
Ca 3.710 4.405 2.622
Ho 0.000 3.743 2.787
Ho 3.710 1.733 0.165
Co 1.851 4.135 0.070
Co 1.859 1.341 2.692
Co 5.560 1.341 2.692
Co 5.569 4.135 0.070
O 0.000 1.525 2.254
O 0.000 4.231 0.578
O 1.501 5.191 3.721
O 1.521 2.513 4.226
O 2.189 2.963 1.603
O 2.208 0.285 1.098
O 3.710 1.245 3.201
O 3.710 3.951 4.876
O 5.211 0.285 1.098
O 5.230 2.963 1.603
O 5.898 2.513 4.226
O 5.918 5.191 3.721
```